ScMoO4: calculated powder diffraction line list (a wavelength of 1.5418 Å), based on a DFT-relaxed cell (PBE+U, Alexandria).

The 8 most intense peaks (10° ≤ 2θ ≤ 80°), low angle first:
| 2θ (°) | Rel. int. | (hkl) |
| --- | --- | --- |
| 17.2 | 24 | 0 0 2 |
| 25.6 | 100 | 1 1 1 |
| 29.7 | 60 | 1 1 2 |
| 35.6 | 29 | 1 1 3 |
| 50.8 | 18 | 1 3 0 |
| 52.0 | 21 | 2 0 4 |
| 52.5 | 23 | 2 2 2 |
| 63.0 | 16 | 1 3 4 |

```
data_ScMoO4
_cell_length_a 4.7973
_cell_length_b 5.8134
_cell_length_c 10.3331
_cell_angle_alpha 90.00
_cell_angle_beta 90.00
_cell_angle_gamma 90.00
_space_group_name_H-M_alt 'P b c n'
_space_group_IT_number 60
_space_group_name_Hall '-P 2n 2ab'
loop_
_atom_site_label
_atom_site_fract_x
_atom_site_fract_y
_atom_site_fract_z
_atom_site_occupancy
Sc1 0.0000 0.0000 0.0000 1
Mo1 0.0000 0.3255 0.2500 1
O1 0.2037 0.2814 0.0906 1
O2 0.2358 0.0485 0.3265 1
```